# Ga2P3H3O9
Computed X-ray powder pattern, a wavelength of 1.5418 Å. Input: a GGA-PBE-relaxed structure.
No peak broadening, texture or thermal motion is included.

Top 10 peaks for 5° ≤ 2θ ≤ 70°, in order of rising 2θ:
(1 0 0), 2θ 12.67, d = 6.984 Å, I 100; (1 1 0), 2θ 22.04, d = 4.032 Å, I 20; (1 1 1), 2θ 25.18, d = 3.537 Å, I 40; (2 0 0), 2θ 25.51, d = 3.492 Å, I 12; (2 0 1), 2θ 28.29, d = 3.155 Å, I 20; (1 1 2), 2θ 32.95, d = 2.718 Å, I 39; (3 0 0), 2θ 38.68, d = 2.328 Å, I 15; (1 2 3), 2θ 50.80, d = 1.797 Å, I 16; (2 2 2), 2θ 51.69, d = 1.768 Å, I 12; (3 1 3), 2θ 60.93, d = 1.520 Å, I 11

Structure:
```
data_Ga2P3H3O9
_chemical_formula_sum 'Ga4 P6 H6 O18'
_cell_length_a 8.0647
_cell_length_b 8.0647
_cell_length_c 7.3614
_cell_angle_alpha 90.00
_cell_angle_beta 90.00
_cell_angle_gamma 120.00
_symmetry_space_group_name_H-M 'P 63/m'
_symmetry_Int_Tables_number 176
_symmetry_space_group_name_Hall '-P 6c'
loop_
_atom_site_label
_atom_site_type_symbol
_atom_site_fract_x
_atom_site_fract_y
_atom_site_fract_z
Ga1 Ga 0.3333 0.6667 0.0494
P1 P 0.0480 0.6894 0.7500
H1 H 0.0210 0.1818 0.2500
O1 O 0.1307 0.5173 0.2500
O2 O 0.1629 0.7290 0.5747
```